# 1
Diffraction record for LaH2Cl. The XRD peak list is calculated, not measured: it uses a GGA-PBE-relaxed structure and a wavelength of 1.5418 Å.

Peak list (8 most intense, 5 to 70 degrees two-theta, most intense first)
d/Å	two_theta	intensity
3.279	27.19	100
4.025	22.08	95
2.135	42.34	62
2.812	31.83	46
3.253	27.42	46
2.157	41.87	42
2.833	31.58	41
2.565	34.98	38

Atomic structure:
a = 3.9875 Å, b = 5.6233 Å, c = 5.7652 Å
α = 90.00°, β = 90.00°, γ = 90.00°
Positions (direct):
La (0.2500, 0.2500, 0.1917)
La (0.7500, 0.7500, 0.8083)
H (0.2500, 0.5439, 0.9043)
H (0.2500, 0.9561, 0.9043)
H (0.7500, 0.0439, 0.0957)
H (0.7500, 0.4561, 0.0957)
Cl (0.2500, 0.7500, 0.4161)
Cl (0.7500, 0.2500, 0.5839)

# 2
Diffraction record for LaH2Cl4. The XRD peak list is calculated, not measured: it uses a GGA-PBE-relaxed structure and a wavelength of 1.5418 Å.

Peak list (8 most intense, 5 to 70 degrees two-theta, most intense first)
d/Å	two_theta	intensity
7.291	12.14	100
6.920	12.79	92
3.025	29.53	78
2.430	36.99	54
5.199	17.06	51
3.139	28.44	47
2.034	44.54	35
4.857	18.26	33

Atomic structure:
a = 6.9360 Å, b = 3.7194 Å, c = 7.3079 Å
α = 90.00°, β = 93.89°, γ = 90.00°
Positions (direct):
La (0.0000, 0.0000, 0.0000)
H (0.2438, 0.5000, 0.3216)
H (0.7562, 0.5000, 0.6784)
Cl (0.2355, 0.5000, 0.8470)
Cl (0.2470, 0.0000, 0.3259)
Cl (0.7530, 0.0000, 0.6741)
Cl (0.7645, 0.5000, 0.1530)

# 3
Diffraction record for LaHSCl2. The XRD peak list is calculated, not measured: it uses a GGA-PBE-relaxed structure and a wavelength of 1.5418 Å.

Peak list (8 most intense, 5 to 70 degrees two-theta, most intense first)
d/Å	two_theta	intensity
5.605	15.81	100
5.739	15.44	56
2.802	31.94	37
4.010	22.17	33
2.518	35.65	27
2.554	35.13	27
2.005	45.23	26
2.506	35.83	26

Atomic structure:
a = 5.6046 Å, b = 5.6046 Å, c = 5.7391 Å
α = 90.00°, β = 90.00°, γ = 90.00°
Positions (direct):
La (0.0000, 0.0000, 0.0000)
H (0.5000, 0.5000, 0.5000)
S (0.0000, 0.0000, 0.5000)
Cl (0.0000, 0.5000, 0.0000)
Cl (0.5000, 0.0000, 0.0000)

# 4
Diffraction record for Li5HCl4. The XRD peak list is calculated, not measured: it uses a GGA-PBE-relaxed structure and a wavelength of 1.5418 Å.

Peak list (8 most intense, 5 to 70 degrees two-theta, most intense first)
d/Å	two_theta	intensity
3.102	28.78	100
2.682	33.41	40
15.406	5.74	37
3.081	28.98	28
1.901	47.84	28
1.892	48.10	20
1.618	56.91	19
3.851	23.09	13

Atomic structure:
a = 15.5613 Å, b = 15.5613 Å, c = 15.5613 Å
α = 14.04°, β = 14.04°, γ = 14.04°
Positions (direct):
Li (0.0000, 0.0000, 0.0000)
Li (0.1921, 0.1921, 0.1921)
Li (0.3851, 0.3851, 0.3851)
Li (0.5959, 0.5959, 0.5959)
Li (0.7884, 0.7884, 0.7884)
H (0.0405, 0.0405, 0.0405)
Cl (0.2437, 0.2437, 0.2437)
Cl (0.4363, 0.4363, 0.4363)
Cl (0.6476, 0.6476, 0.6476)
Cl (0.8400, 0.8400, 0.8400)

# 5
Diffraction record for Li4H3Cl4. The XRD peak list is calculated, not measured: it uses a GGA-PBE-relaxed structure and a wavelength of 1.5418 Å.

Peak list (8 most intense, 5 to 70 degrees two-theta, most intense first)
d/Å	two_theta	intensity
13.506	6.54	100
3.147	28.36	70
2.701	33.17	43
3.564	24.98	43
6.753	13.11	29
3.191	27.96	28
3.605	24.69	26
2.845	31.44	22

Atomic structure:
a = 4.1001 Å, b = 4.1425 Å, c = 13.5132 Å
α = 88.19°, β = 88.58°, γ = 60.53°
Positions (direct):
Li (0.0000, 0.0000, 0.0000)
Li (0.0092, 0.0464, 0.5964)
Li (0.3357, 0.3535, 0.8348)
Li (0.3463, 0.3972, 0.4290)
H (0.5909, 0.7826, 0.2260)
H (0.6683, 0.6763, 0.9260)
H (0.7514, 0.6034, 0.2082)
Cl (0.0045, 0.0183, 0.8148)
Cl (0.0162, 0.0601, 0.4091)
Cl (0.3303, 0.3359, 0.0269)
Cl (0.3407, 0.3822, 0.6118)

# 6
Diffraction record for Li4HCl2. The XRD peak list is calculated, not measured: it uses a GGA-PBE-relaxed structure and a wavelength of 1.5418 Å.

Peak list (8 most intense, 5 to 70 degrees two-theta, most intense first)
d/Å	two_theta	intensity
3.586	24.83	100
2.552	35.17	85
8.894	9.95	73
2.237	40.31	46
4.447	19.97	44
2.589	34.65	38
1.487	62.43	26
1.831	49.81	20

Atomic structure:
a = 3.6615 Å, b = 3.6615 Å, c = 17.7873 Å
α = 90.00°, β = 90.00°, γ = 90.00°
Positions (direct):
Li (0.0000, 0.0000, 0.1693)
Li (0.0000, 0.0000, 0.8307)
Li (0.0000, 0.5000, 0.0000)
Li (0.0000, 0.5000, 0.5000)
Li (0.5000, 0.0000, 0.0000)
Li (0.5000, 0.0000, 0.5000)
Li (0.5000, 0.5000, 0.3307)
Li (0.5000, 0.5000, 0.6693)
H (0.0000, 0.0000, 0.0000)
H (0.5000, 0.5000, 0.5000)
Cl (0.0000, 0.0000, 0.3995)
Cl (0.0000, 0.0000, 0.6005)
Cl (0.5000, 0.5000, 0.1005)
Cl (0.5000, 0.5000, 0.8995)